Entry 1:
Theoretical powder X-ray diffraction pattern of K4CO4 for Cu Kα (λ = 1.5418 Å), from a cell relaxed with GGA-PBE.
Neutral-atom scattering factors, no anomalous dispersion.

Structure:
a b c (Å): 6.002 6.002 5.823
angles (deg): 114.17 114.17 92.91
Sites, in units of the cell vectors:
K (0.000, 0.000, 0.000)
K (0.241, 0.658, 0.448)
K (0.591, 0.591, 0.069)
K (0.658, 0.241, 0.448)
C (0.181, 0.181, 0.708)
O (0.112, 0.381, 0.889)
O (0.265, 0.265, 0.555)
O (0.381, 0.112, 0.889)
O (0.963, 0.963, 0.505)

Main lines, low angle first (2θ = 15–90°):
2θ 16.8, intensity 27
2θ 20.4, intensity 21
2θ 26.8, intensity 23
2θ 28.0, intensity 73
2θ 30.0, intensity 100
2θ 31.0, intensity 89
2θ 33.7, intensity 32
2θ 33.9, intensity 22
2θ 34.6, intensity 22
2θ 38.4, intensity 32
2θ 41.6, intensity 22
2θ 52.1, intensity 20



Entry 2:
Theoretical powder X-ray diffraction pattern of KCO2 for Cu Kα (λ = 1.5418 Å), from a cell relaxed with GGA-PBE.
Neutral-atom scattering factors, no anomalous dispersion.

Structure:
a b c (Å): 6.212 11.090 3.504
angles (deg): 90.00 90.00 90.00
Sites, in units of the cell vectors:
K (0.096, 0.151, 0.000)
K (0.404, 0.651, 0.000)
K (0.596, 0.349, 0.000)
K (0.904, 0.849, 0.000)
C (0.069, 0.440, 0.500)
C (0.431, 0.940, 0.500)
C (0.569, 0.060, 0.500)
C (0.931, 0.560, 0.500)
O (0.035, 0.659, 0.500)
O (0.228, 0.951, 0.500)
O (0.272, 0.451, 0.500)
O (0.465, 0.159, 0.500)
O (0.535, 0.841, 0.500)
O (0.728, 0.549, 0.500)
O (0.772, 0.049, 0.500)
O (0.965, 0.341, 0.500)

Main lines, low angle first (2θ = 15–90°):
2θ 28.1, intensity 16
2θ 29.9, intensity 29
2θ 30.2, intensity 31
2θ 30.4, intensity 100
2θ 32.3, intensity 23
2θ 33.5, intensity 57
2θ 35.5, intensity 33
2θ 38.2, intensity 81
2θ 39.6, intensity 43
2θ 46.8, intensity 24
2θ 52.2, intensity 23
2θ 57.4, intensity 22



Entry 3:
Theoretical powder X-ray diffraction pattern of K4CO4 for Cu Kα (λ = 1.5418 Å), from a cell relaxed with GGA-PBE.
Neutral-atom scattering factors, no anomalous dispersion.

Structure:
a b c (Å): 5.973 5.973 5.973
angles (deg): 102.19 102.19 125.29
Sites, in units of the cell vectors:
K (0.164, 0.308, 0.604)
K (0.440, 0.836, 0.144)
K (0.692, 0.296, 0.856)
K (0.704, 0.560, 0.396)
C (0.000, 0.000, 0.000)
O (0.002, 0.887, 0.189)
O (0.113, 0.302, 0.115)
O (0.187, 0.998, 0.885)
O (0.698, 0.813, 0.811)

Main lines, low angle first (2θ = 15–90°):
2θ 16.7, intensity 16
2θ 23.7, intensity 11
2θ 31.2, intensity 100
2θ 36.9, intensity 25
2θ 37.9, intensity 39
2θ 39.6, intensity 17
2θ 40.7, intensity 22
2θ 46.7, intensity 23
2θ 50.9, intensity 13
2θ 53.0, intensity 11
2θ 64.4, intensity 10
2θ 65.2, intensity 11